(1)
# AcTmH6Ru2
Calculated powder diffraction line list, λ = 1.5418 Å (Cu Kα). Input: a GGA-PBE-relaxed structure.
No peak broadening, texture or thermal motion is included.

Peak list (10 most intense, 2θ = 10–90°, in order of rising 2θ)
- 2θ 23.63, I = 38, hkl 0 1 2
- 2θ 30.22, I = 100, hkl 1 0 4
- 2θ 32.44, I = 23, hkl 0 0 6
- 2θ 34.40, I = 22, hkl 0 1 5
- 2θ 36.83, I = 96, hkl 1 1 0
- 2θ 48.35, I = 27, hkl 0 2 4
- 2θ 49.88, I = 44, hkl 1 1 6
- 2θ 60.00, I = 23, hkl 1 0 10
- 2θ 62.29, I = 26, hkl 2 1 4
- 2θ 84.21, I = 18, hkl 2 1 10

Crystal structure
Cell: 4.8809 4.8809 16.5591 Å, 90.00 90.00 120.00°
Space group R-3m (No. 166, hexagonal axes)
Symmetry-distinct sites (fractional):
Ac: 0.0000 0.0000 0.0000 (multiplicity 3)
Tm: 0.0000 0.0000 0.5000 (multiplicity 3)
H: 0.0255 0.5127 0.9346 (multiplicity 18)
Ru: 0.0000 0.0000 0.2024 (multiplicity 6)

=====

(2)
# AcHS3
Calculated powder diffraction line list, λ = 1.5418 Å (Cu Kα). Input: a GGA-PBE-relaxed structure.
No peak broadening, texture or thermal motion is included.

Peak list (10 most intense, 2θ = 10–90°, in order of rising 2θ)
- 2θ 16.04, I = 72, hkl 0 0 1
- 2θ 18.28, I = 62, hkl 0 1 0
- 2θ 19.69, I = 89, hkl 1 0 0
- 2θ 24.41, I = 48, hkl 0 1 1
- 2θ 26.99, I = 94, hkl 1 1 0
- 2θ 31.56, I = 100, hkl 1 1 1
- 2θ 32.41, I = 41, hkl 0 0 2
- 2θ 40.60, I = 43, hkl 0 2 1
- 2θ 42.67, I = 53, hkl 1 1 2
- 2θ 45.51, I = 39, hkl 1 2 1

Crystal structure
Cell: 4.5079 4.8541 5.5245 Å, 90.00 90.00 90.00°
Space group Pmm2 (No. 25)
Symmetry-distinct sites (fractional):
Ac: 0.0000 0.0000 0.0000 (multiplicity 1)
H: 0.5000 0.5000 0.7414 (multiplicity 1)
S: 0.0000 0.2180 0.4969 (multiplicity 2)
S: 0.5000 0.5000 0.9882 (multiplicity 1)

=====

(3)
# Ac3H5S2
Calculated powder diffraction line list, λ = 1.5418 Å (Cu Kα). Input: a GGA-PBE-relaxed structure.
No peak broadening, texture or thermal motion is included.

Peak list (10 most intense, 2θ = 10–90°, in order of rising 2θ)
- 2θ 21.71, I = 30, hkl 0 6 0
- 2θ 24.98, I = 100, hkl 1 1 1
- 2θ 25.26, I = 83, hkl 0 6 1
- 2θ 26.70, I = 51, hkl 0 2 2
- 2θ 27.04, I = 74, hkl 1 3 1
- 2θ 27.89, I = 30, hkl 1 5 0
- 2θ 30.77, I = 35, hkl 1 5 1
- 2θ 35.25, I = 36, hkl 1 3 2
- 2θ 46.11, I = 46, hkl 1 3 3
- 2θ 47.56, I = 37, hkl 1 9 2

Crystal structure
Cell: 4.2165 24.5624 6.9390 Å, 90.00 90.00 90.00°
Space group Cmc2_1 (No. 36)
Symmetry-distinct sites (fractional):
Ac: 0.0000 0.0518 0.0000 (multiplicity 4)
Ac: 0.0000 0.2321 0.2033 (multiplicity 4)
Ac: 0.0000 0.3913 0.0584 (multiplicity 4)
H: 0.0000 0.0558 0.6276 (multiplicity 4)
H: 0.0000 0.1275 0.2991 (multiplicity 4)
H: 0.0000 0.2701 0.5300 (multiplicity 4)
H: 0.0000 0.2973 0.9117 (multiplicity 4)
H: 0.0000 0.4061 0.4063 (multiplicity 4)
S: 0.0000 0.1744 0.7810 (multiplicity 4)
S: 0.0000 0.4819 0.7852 (multiplicity 4)

=====

(4)
# Ac2ScH
Calculated powder diffraction line list, λ = 1.5418 Å (Cu Kα). Input: a GGA-PBE-relaxed structure.
No peak broadening, texture or thermal motion is included.

Peak list (10 most intense, 2θ = 10–90°, in order of rising 2θ)
- 2θ 26.76, I = 62, hkl 0 0 9
- 2θ 28.21, I = 100, hkl 1 0 1
- 2θ 30.53, I = 78, hkl 1 0 4
- 2θ 31.85, I = 68, hkl 0 1 5
- 2θ 37.07, I = 54, hkl 0 1 8
- 2θ 41.39, I = 34, hkl 1 0 10
- 2θ 48.78, I = 23, hkl 1 0 13
- 2θ 49.64, I = 35, hkl 1 1 0
- 2θ 57.29, I = 46, hkl 1 1 9
- 2θ 77.35, I = 19, hkl 1 1 18

Crystal structure
Cell: 3.6729 3.6729 29.9776 Å, 90.00 90.00 120.00°
Space group R-3m (No. 166, hexagonal axes)
Symmetry-distinct sites (fractional):
Ac: 0.0000 0.0000 0.1120 (multiplicity 6)
Sc: 0.0000 0.0000 0.0000 (multiplicity 3)
H: 0.0000 0.0000 0.5000 (multiplicity 3)

=====

(5)
# AcSc3H
Calculated powder diffraction line list, λ = 1.5418 Å (Cu Kα). Input: a GGA-PBE-relaxed structure.
No peak broadening, texture or thermal motion is included.

Peak list (10 most intense, 2θ = 10–90°, in order of rising 2θ)
- 2θ 18.42, I = 67, hkl 1 0 0
- 2θ 26.16, I = 62, hkl 1 1 0
- 2θ 32.18, I = 100, hkl 1 1 1
- 2θ 37.33, I = 51, hkl 2 0 0
- 2θ 41.93, I = 36, hkl 2 1 0
- 2θ 46.15, I = 29, hkl 2 1 1
- 2θ 53.82, I = 34, hkl 2 2 0
- 2θ 57.38, I = 19, hkl 3 0 0
- 2θ 64.11, I = 40, hkl 3 1 1
- 2θ 88.45, I = 17, hkl 3 3 1

Crystal structure
Cell: 4.8178 4.8178 4.8178 Å, 90.00 90.00 90.00°
Space group Pm-3m (No. 221)
Symmetry-distinct sites (fractional):
Ac: 0.0000 0.0000 0.0000 (multiplicity 1)
Sc: 0.0000 0.5000 0.5000 (multiplicity 3)
H: 0.5000 0.5000 0.5000 (multiplicity 1)

=====

(6)
# Ac2Si2H
Calculated powder diffraction line list, λ = 1.5418 Å (Cu Kα). Input: a GGA-PBE-relaxed structure.
No peak broadening, texture or thermal motion is included.

Peak list (10 most intense, 2θ = 10–90°, in order of rising 2θ)
- 2θ 22.34, I = 90, hkl 1 1 1
- 2θ 27.45, I = 100, hkl 3 1 -1
- 2θ 27.93, I = 63, hkl 0 2 0
- 2θ 28.45, I = 39, hkl 0 0 2
- 2θ 28.93, I = 34, hkl 2 0 -2
- 2θ 30.00, I = 40, hkl 4 0 0
- 2θ 32.52, I = 46, hkl 3 1 1
- 2θ 40.30, I = 29, hkl 0 2 2
- 2θ 40.65, I = 25, hkl 2 2 -2
- 2θ 41.46, I = 32, hkl 4 2 0

Crystal structure
Cell: 12.2465 6.3879 6.4501 Å, 90.00 103.40 90.00°
Space group C2/c (No. 15)
Symmetry-distinct sites (fractional):
Ac: 0.1057 0.2251 0.0528 (multiplicity 8)
Si: 0.1709 0.2822 0.5706 (multiplicity 8)
H: 0.0000 0.0041 0.7500 (multiplicity 4)

=====

(7)
# Ac3Si2H3
Calculated powder diffraction line list, λ = 1.5418 Å (Cu Kα). Input: a GGA-PBE-relaxed structure.
No peak broadening, texture or thermal motion is included.

Peak list (10 most intense, 2θ = 10–90°, in order of rising 2θ)
- 2θ 22.89, I = 100, hkl 1 1 0
- 2θ 25.83, I = 24, hkl 0 0 1
- 2θ 34.78, I = 85, hkl 1 1 1
- 2θ 40.20, I = 26, hkl 3 0 0
- 2θ 46.76, I = 12, hkl 2 2 0
- 2θ 48.40, I = 22, hkl 3 0 1
- 2θ 54.19, I = 19, hkl 2 2 1
- 2θ 58.56, I = 16, hkl 1 1 2
- 2θ 68.65, I = 11, hkl 3 0 2
- 2θ 69.58, I = 14, hkl 4 1 1

Crystal structure
Cell: 7.7708 7.7708 3.4489 Å, 90.00 90.00 120.00°
Space group P-62m (No. 189)
Symmetry-distinct sites (fractional):
Ac: 0.0000 0.6988 0.0000 (multiplicity 3)
Si: 0.3333 0.6667 0.5000 (multiplicity 2)
H: 0.0000 0.1820 0.5000 (multiplicity 3)

=====

(8)
# Ac4Sn3H
Calculated powder diffraction line list, λ = 1.5418 Å (Cu Kα). Input: a GGA-PBE-relaxed structure.
No peak broadening, texture or thermal motion is included.

Peak list (10 most intense, 2θ = 10–90°, in order of rising 2θ)
- 2θ 26.59, I = 49, hkl 0 0 2
- 2θ 26.84, I = 31, hkl 1 3 0
- 2θ 27.15, I = 70, hkl 0 3 1
- 2θ 29.73, I = 100, hkl 2 1 1
- 2θ 29.90, I = 82, hkl 2 2 0
- 2θ 31.02, I = 63, hkl 0 2 2
- 2θ 31.67, I = 33, hkl 0 4 0
- 2θ 40.43, I = 50, hkl 2 2 2
- 2θ 49.83, I = 50, hkl 2 5 1
- 2θ 54.38, I = 30, hkl 2 3 3

Crystal structure
Cell: 7.0428 11.3027 6.7049 Å, 90.00 90.00 90.00°
Space group Imm2 (No. 44)
Symmetry-distinct sites (fractional):
Ac: 0.0000 0.1928 0.0000 (multiplicity 4)
Ac: 0.2444 0.5000 0.1094 (multiplicity 4)
Sn: 0.0000 0.2597 0.4724 (multiplicity 4)
Sn: 0.0000 0.5000 0.6581 (multiplicity 2)
H: 0.0000 0.0000 0.8526 (multiplicity 2)

=====

(9)
# Ac4Sn2H
Calculated powder diffraction line list, λ = 1.5418 Å (Cu Kα). Input: a GGA-PBE-relaxed structure.
No peak broadening, texture or thermal motion is included.

Peak list (10 most intense, 2θ = 10–90°, in order of rising 2θ)
- 2θ 26.84, I = 60, hkl 1 0 2
- 2θ 27.34, I = 75, hkl 2 0 -2
- 2θ 28.05, I = 100, hkl 1 2 0
- 2θ 29.80, I = 25, hkl 2 1 0
- 2θ 30.03, I = 26, hkl 2 1 -2
- 2θ 31.15, I = 67, hkl 0 2 2
- 2θ 31.30, I = 66, hkl 1 2 -2
- 2θ 36.10, I = 39, hkl 1 0 -4
- 2θ 46.09, I = 34, hkl 0 2 4
- 2θ 46.54, I = 30, hkl 2 2 -4

Crystal structure
Cell: 6.9957 7.2665 9.9545 Å, 90.00 109.78 90.00°
Space group P2_1/m (No. 11)
Symmetry-distinct sites (fractional):
Ac: 0.0241 0.9995 0.2764 (multiplicity 4)
Ac: 0.3869 0.2500 0.0732 (multiplicity 2)
Ac: 0.4244 0.2500 0.6337 (multiplicity 2)
Sn: 0.1984 0.7500 0.0408 (multiplicity 2)
Sn: 0.2939 0.7500 0.5835 (multiplicity 2)
H: 0.2324 0.2500 0.8076 (multiplicity 2)

=====

(10)
# Ac5Sn2H
Calculated powder diffraction line list, λ = 1.5418 Å (Cu Kα). Input: a GGA-PBE-relaxed structure.
No peak broadening, texture or thermal motion is included.

Peak list (10 most intense, 2θ = 10–90°, in order of rising 2θ)
- 2θ 14.76, I = 14, hkl 1 1 1
- 2θ 29.78, I = 100, hkl 2 2 2
- 2θ 32.92, I = 39, hkl 4 0 0
- 2θ 37.54, I = 14, hkl 0 0 4
- 2θ 47.24, I = 15, hkl 4 4 0
- 2θ 50.78, I = 24, hkl 4 0 4
- 2θ 56.85, I = 34, hkl 6 2 2
- 2θ 61.85, I = 13, hkl 4 4 4
- 2θ 63.02, I = 12, hkl 2 2 6
- 2θ 82.38, I = 12, hkl 6 2 6

Crystal structure
Cell: 10.8743 10.8943 9.5824 Å, 90.00 90.00 90.00°
Space group Fmm2 (No. 42)
Symmetry-distinct sites (fractional):
Ac: 0.0000 0.0000 0.0000 (multiplicity 4)
Ac: 0.0000 0.2486 0.2453 (multiplicity 8)
Ac: 0.2487 0.0000 0.2452 (multiplicity 8)
Sn: 0.2500 0.2500 0.4966 (multiplicity 8)
H: 0.0000 0.0000 0.2626 (multiplicity 4)

=====

(11)
# Ac5Sn4H
Calculated powder diffraction line list, λ = 1.5418 Å (Cu Kα). Input: a GGA-PBE-relaxed structure.
No peak broadening, texture or thermal motion is included.

Peak list (10 most intense, 2θ = 10–90°, in order of rising 2θ)
- 2θ 23.02, I = 44, hkl 1 2 1
- 2θ 26.34, I = 49, hkl 0 0 2
- 2θ 26.79, I = 100, hkl 3 1 0
- 2θ 37.92, I = 79, hkl 3 1 2
- 2θ 38.25, I = 39, hkl 2 4 0
- 2θ 47.03, I = 42, hkl 2 4 2
- 2θ 61.48, I = 18, hkl 3 1 4
- 2θ 62.17, I = 18, hkl 6 2 2
- 2θ 62.39, I = 19, hkl 5 5 0
- 2θ 68.92, I = 27, hkl 5 5 2

Crystal structure
Cell: 10.5242 10.5242 6.7676 Å, 90.00 90.00 90.00°
Space group I4 (No. 79)
Symmetry-distinct sites (fractional):
Ac: 0.0000 0.0000 0.0000 (multiplicity 2)
Ac: 0.0967 0.7080 0.5490 (multiplicity 8)
Sn: 0.0960 0.7024 0.0520 (multiplicity 8)
H: 0.0000 0.0000 0.6152 (multiplicity 2)

=====

(12)
# Sr3AcH8
Calculated powder diffraction line list, λ = 1.5418 Å (Cu Kα). Input: a GGA-PBE-relaxed structure.
No peak broadening, texture or thermal motion is included.

Peak list (10 most intense, 2θ = 10–90°, in order of rising 2θ)
- 2θ 15.16, I = 19, hkl 1 0 0
- 2θ 21.51, I = 18, hkl 1 1 0
- 2θ 26.42, I = 100, hkl 1 1 1
- 2θ 30.60, I = 49, hkl 2 0 0
- 2θ 43.83, I = 40, hkl 2 2 0
- 2θ 51.91, I = 47, hkl 3 1 1
- 2θ 70.22, I = 19, hkl 3 3 1
- 2θ 72.33, I = 17, hkl 4 2 0
- 2θ 80.55, I = 14, hkl 4 2 2
- 2θ 86.57, I = 15, hkl 5 1 1

Crystal structure
Cell: 5.8425 5.8425 5.8425 Å, 90.00 90.00 90.00°
Space group Pm-3m (No. 221)
Symmetry-distinct sites (fractional):
Sr: 0.0000 0.0000 0.5000 (multiplicity 3)
Ac: 0.5000 0.5000 0.5000 (multiplicity 1)
H: 0.2507 0.2507 0.2507 (multiplicity 8)

=====

(13)
# AcTb2H8
Calculated powder diffraction line list, λ = 1.5418 Å (Cu Kα). Input: a GGA-PBE-relaxed structure.
No peak broadening, texture or thermal motion is included.

Peak list (10 most intense, 2θ = 10–90°, in order of rising 2θ)
- 2θ 28.55, I = 100, hkl 0 1 3
- 2θ 28.69, I = 99, hkl 1 1 0
- 2θ 33.05, I = 34, hkl 0 2 0
- 2θ 33.23, I = 67, hkl 1 0 3
- 2θ 47.56, I = 65, hkl 1 2 3
- 2θ 56.34, I = 31, hkl 1 3 0
- 2θ 56.45, I = 30, hkl 1 1 6
- 2θ 56.70, I = 30, hkl 2 1 3
- 2θ 59.42, I = 13, hkl 2 2 0
- 2θ 76.76, I = 18, hkl 1 3 6

Crystal structure
Cell: 3.7990 5.4212 11.4816 Å, 90.00 90.00 90.00°
Space group Immm (No. 71)
Symmetry-distinct sites (fractional):
Ac: 0.0000 0.0000 0.0000 (multiplicity 2)
Tb: 0.0000 0.0000 0.3287 (multiplicity 4)
H: 0.0000 0.2003 0.5000 (multiplicity 4)
H: 0.0000 0.2732 0.1708 (multiplicity 8)
H: 0.0000 0.5000 0.3425 (multiplicity 4)

=====

(14)
# Ac2Tb4Tl3H2
Calculated powder diffraction line list, λ = 1.5418 Å (Cu Kα). Input: a GGA-PBE-relaxed structure.
No peak broadening, texture or thermal motion is included.

Peak list (10 most intense, 2θ = 10–90°, in order of rising 2θ)
- 2θ 18.43, I = 14, hkl 1 0 1
- 2θ 26.64, I = 42, hkl 1 1 2
- 2θ 30.55, I = 37, hkl 1 0 7
- 2θ 33.34, I = 100, hkl 1 1 6
- 2θ 36.66, I = 58, hkl 2 0 0
- 2θ 48.44, I = 21, hkl 2 1 7
- 2θ 50.04, I = 14, hkl 1 0 13
- 2θ 52.81, I = 22, hkl 2 2 0
- 2θ 63.61, I = 16, hkl 2 1 13
- 2θ 63.91, I = 31, hkl 3 1 6

Crystal structure
Cell: 4.9028 4.9028 25.5262 Å, 90.00 90.00 90.00°
Space group I4/mmm (No. 139)
Symmetry-distinct sites (fractional):
Ac: 0.0000 0.0000 0.1970 (multiplicity 4)
Tb: 0.0000 0.5000 0.0792 (multiplicity 8)
Tl: 0.0000 0.0000 0.3361 (multiplicity 4)
Tl: 0.0000 0.0000 0.5000 (multiplicity 2)
H: 0.0000 0.0000 0.0934 (multiplicity 4)